Structure and theoretical XRD peak list of HfZrSb2Rh2 (a cell relaxed with GGA-PBE; Cu Kα (weighted mean of Kα1 and Kα2)).
No peak broadening, texture or thermal motion is included.

Principal peaks in the range 10 to 80 degrees two-theta, sorted by position:
two_theta	I (rel.)
24.41	224
28.26	224
40.40	1000
47.77	107
50.03	62
58.46	167
66.17	80
73.46	335

Structural model:
```
HfZrSb2Rh2
1.0
2.233 1.289 7.294
-2.233 1.289 7.294
0.000 -2.578 7.294
Hf Zr Sb Rh
1 1 2 2
direct
0.000 0.000 0.000
0.500 0.500 0.500
0.250 0.250 0.250
0.750 0.750 0.750
0.124 0.124 0.124
0.626 0.626 0.626
```

Structure and theoretical XRD peak list of Li2PuAg2O6 (a cell relaxed with GGA-PBE; Cu Kα (weighted mean of Kα1 and Kα2)).
No peak broadening, texture or thermal motion is included.

Principal peaks in the range 10 to 80 degrees two-theta, sorted by position:
two_theta	I (rel.)
18.28	1000
28.94	338
30.30	642
33.85	528
35.62	174
42.39	243
46.06	212
56.13	276

Structural model:
```
Li2PuAg2O6
1.0
2.950 1.703 5.160
-2.950 1.703 5.160
0.000 -3.406 5.160
Li Pu Ag O
2 1 2 6
direct
0.091 0.091 0.091
0.909 0.909 0.909
0.500 0.500 0.500
0.293 0.293 0.293
0.707 0.707 0.707
0.269 0.269 0.730
0.269 0.730 0.269
0.270 0.731 0.731
0.730 0.269 0.269
0.731 0.270 0.731
0.731 0.731 0.270
```

Structure and theoretical XRD peak list of Be4As5 (a cell relaxed with GGA-PBE; Cu Kα (weighted mean of Kα1 and Kα2)).
No peak broadening, texture or thermal motion is included.

Principal peaks in the range 10 to 80 degrees two-theta, sorted by position:
two_theta	I (rel.)
14.84	482
29.94	246
33.07	472
39.54	1000
45.60	314
46.72	161
64.05	151
67.34	193

Structural model:
```
Be4As5
1.0
-4.220 4.220 1.944
4.220 -4.220 1.944
4.220 4.220 -1.944
Be As
4 5
direct
0.000 0.378 0.378
0.000 0.622 0.622
0.378 0.000 0.378
0.622 0.000 0.622
0.000 0.000 0.000
0.323 0.323 0.646
0.323 0.677 0.000
0.677 0.323 0.000
0.677 0.677 0.354
```

Structure and theoretical XRD peak list of Ho12ErTh5 (a cell relaxed with GGA-PBE; Cu Kα (weighted mean of Kα1 and Kα2)).
No peak broadening, texture or thermal motion is included.

Principal peaks in the range 10 to 80 degrees two-theta, sorted by position:
two_theta	I (rel.)
30.89	1000
35.70	342
36.06	165
51.65	240
61.12	146
61.23	145
61.64	140
64.37	124

Structural model:
```
Ho12ErTh5
1.0
7.473 -7.535 0.000
7.473 7.535 0.000
0.000 0.000 5.035
Ho Er Th
12 1 5
direct
0.004 0.670 0.500
0.163 0.163 0.000
0.171 0.503 0.000
0.330 0.996 0.500
0.334 0.334 0.500
0.497 0.829 0.000
0.503 0.171 0.000
0.666 0.666 0.500
0.670 0.004 0.500
0.829 0.497 0.000
0.837 0.837 0.000
0.996 0.330 0.500
0.500 0.500 0.000
0.000 0.000 0.500
0.168 0.832 0.000
0.334 0.666 0.500
0.666 0.334 0.500
0.832 0.168 0.000
```

Structure and theoretical XRD peak list of Mg2ZnCo3 (a cell relaxed with GGA-PBE; Cu Kα (weighted mean of Kα1 and Kα2)).
No peak broadening, texture or thermal motion is included.

Principal peaks in the range 10 to 80 degrees two-theta, sorted by position:
two_theta	I (rel.)
22.28	932
22.38	462
42.56	827
43.15	479
43.31	948
44.19	495
45.45	1000
45.67	492

Structural model:
```
Mg2ZnCo3
1.0
4.199 -2.439 0.000
4.199 2.439 0.000
-2.797 0.000 4.099
Mg Zn Co
2 1 3
direct
0.120 0.120 0.361
0.880 0.880 0.639
0.500 0.500 0.500
0.000 0.500 0.000
0.500 0.000 0.000
0.500 0.500 0.000
```

Structure and theoretical XRD peak list of Tb6ThSc2 (a cell relaxed with GGA-PBE; Cu Kα (weighted mean of Kα1 and Kα2)).
No peak broadening, texture or thermal motion is included.

Principal peaks in the range 10 to 80 degrees two-theta, sorted by position:
two_theta	I (rel.)
25.92	455
30.13	995
30.58	1000
30.88	522
31.05	941
32.48	805
33.73	707
35.81	417

Structural model:
```
Tb6ThSc2
1.0
6.161 0.000 0.000
0.000 9.363 0.000
-5.708 0.000 9.536
Tb Th Sc
12 2 4
direct
0.044 0.132 0.193
0.044 0.368 0.693
0.295 0.711 0.660
0.295 0.789 0.160
0.349 0.143 0.009
0.349 0.357 0.509
0.651 0.643 0.491
0.651 0.857 0.991
0.705 0.211 0.840
0.705 0.289 0.340
0.956 0.632 0.307
0.956 0.868 0.807
0.500 0.000 0.500
0.500 0.500 0.000
0.153 0.062 0.648
0.153 0.438 0.148
0.847 0.562 0.852
0.847 0.938 0.352
```

Structure and theoretical XRD peak list of Pm2Sm3Sb3 (a cell relaxed with GGA-PBE; Cu Kα (weighted mean of Kα1 and Kα2)).
No peak broadening, texture or thermal motion is included.

Principal peaks in the range 10 to 80 degrees two-theta, sorted by position:
two_theta	I (rel.)
27.64	176
29.55	314
29.86	181
32.71	1000
33.61	558
33.89	849
48.48	232
52.19	266

Structural model:
```
Pm2Sm3Sb3
1.0
9.236 0.000 0.000
-4.618 7.999 0.000
0.000 0.000 6.454
Pm Sm Sb
4 6 6
direct
0.333 0.667 0.000
0.333 0.667 0.500
0.667 0.333 0.000
0.667 0.333 0.500
0.000 0.249 0.250
0.000 0.751 0.750
0.249 0.000 0.250
0.249 0.249 0.750
0.751 0.000 0.750
0.751 0.751 0.250
0.000 0.386 0.750
0.000 0.614 0.250
0.386 0.000 0.750
0.386 0.386 0.250
0.614 0.000 0.250
0.614 0.614 0.750
```

Repeat the third record exactly.
Structure and theoretical XRD peak list of Be4As5 (a cell relaxed with GGA-PBE; Cu Kα (weighted mean of Kα1 and Kα2)).
No peak broadening, texture or thermal motion is included.

Principal peaks in the range 10 to 80 degrees two-theta, sorted by position:
two_theta	I (rel.)
14.84	482
29.94	246
33.07	472
39.54	1000
45.60	314
46.72	161
64.05	151
67.34	193

Structural model:
```
Be4As5
1.0
-4.220 4.220 1.944
4.220 -4.220 1.944
4.220 4.220 -1.944
Be As
4 5
direct
0.000 0.378 0.378
0.000 0.622 0.622
0.378 0.000 0.378
0.622 0.000 0.622
0.000 0.000 0.000
0.323 0.323 0.646
0.323 0.677 0.000
0.677 0.323 0.000
0.677 0.677 0.354
```

Which formula does entry 7 have?
Pm2Sm3Sb3

What is the formula in the fourth record?
Ho12ErTh5